Record 1
This entry pairs a crystal structure of BaSr3Al8 with its theoretical X-ray powder pattern. Radiation: Cu Kα (weighted mean of Kα1 and Kα2). Structure: a cell relaxed with PBE.
Intensities are scaled so that the largest is 100.

Structure:
Cell lengths 5.946, 5.946, 9.589 Å; angles 90.00, 90.00, 120.00 degrees
Element x y z (fractional)
1 Ba 0.000 0.000 0.000
2 Sr 0.000 0.000 0.365
3 Sr 0.667 0.333 0.501
4 Sr 0.667 0.333 0.868
5 Al 0.165 0.330 0.679
6 Al 0.165 0.835 0.679
7 Al 0.333 0.667 0.436
8 Al 0.333 0.667 0.938
9 Al 0.503 0.005 0.188
10 Al 0.503 0.497 0.188
11 Al 0.670 0.835 0.679
12 Al 0.995 0.497 0.188

Largest 6 diffraction maxima, by angle, 10° ≤ 2θ ≤ 80°:
two_theta  intensity
17.2  25
30.1  71
33.0  100
35.5  81
36.1  44
55.3  44

=====

Record 2
This entry pairs a crystal structure of Ho3Sc4Rh4 with its theoretical X-ray powder pattern. Radiation: Cu Kα (weighted mean of Kα1 and Kα2). Structure: a cell relaxed with PBE.
Intensities are scaled so that the largest is 100.

Structure:
Cell lengths 8.764, 8.764, 8.764 Å; angles 155.42, 122.36, 63.60 degrees
Element x y z (fractional)
1 Ho 0.000 0.000 0.000
2 Ho 0.392 0.892 0.500
3 Ho 0.608 0.108 0.500
4 Sc 0.021 0.333 0.689
5 Sc 0.356 0.667 0.689
6 Sc 0.644 0.333 0.311
7 Sc 0.979 0.667 0.311
8 Rh 0.238 0.238 0.000
9 Rh 0.292 0.500 0.792
10 Rh 0.708 0.500 0.208
11 Rh 0.762 0.762 0.000

Largest 6 diffraction maxima, by angle, 10° ≤ 2θ ≤ 80°:
two_theta  intensity
21.0  24
31.9  33
32.6  100
35.7  95
36.7  26
65.6  39